[1]
Theoretical powder XRD pattern
Compound: MgTiV2CrO10
Radiation: λ = 1.5418 Å (Cu Kα)
Structure: DFT lattice parameters and positions (PBE+U)
Intensities are scaled so that the largest is 100.

Atomic structure:
Unit cell a=4.9383 b=6.6098 c=6.6147 alpha=91.46 beta=94.23 gamma=94.10
Fractional positions:
Mg 0.0000 0.0000 0.0000
Ti 0.4990 0.2531 0.7469
V 0.3901 0.7600 0.7471
V 0.6098 0.2527 0.2400
Cr 0.5009 0.7566 0.2433
O 0.2546 0.0297 0.7645
O 0.2567 0.7669 0.0320
O 0.2772 0.2021 0.1928
O 0.3246 0.4852 0.7594
O 0.3313 0.7623 0.4751
O 0.6713 0.5247 0.2378
O 0.6726 0.2406 0.5150
O 0.7227 0.8061 0.7990
O 0.7442 0.2353 0.9699
O 0.7445 0.9686 0.2334

Principal peaks in the range 10 to 90 degrees two-theta, in order of falling intensity:
hkl 1 0 0, 18.06 deg, I = 100; hkl 0 2 0, 27.05 deg, I = 80; hkl 1 -2 0, 31.54 deg, I = 61; hkl 1 0 1, 23.38 deg, I = 41; hkl 1 2 0, 33.87 deg, I = 39; hkl 0 4 0, 55.79 deg, I = 24; hkl 0 0 1, 13.43 deg, I = 23; hkl 1 0 -3, 43.86 deg, I = 18; hkl 2 2 -2, 53.79 deg, I = 11; hkl 0 4 -2, 62.19 deg, I = 10


[2]
Theoretical powder XRD pattern
Compound: MgTiV2CrO10
Radiation: λ = 1.5418 Å (Cu Kα)
Structure: DFT lattice parameters and positions (PBE+U)
Intensities are scaled so that the largest is 100.

Atomic structure:
Unit cell a=6.5059 b=6.5059 c=5.4819 alpha=90.00 beta=90.00 gamma=90.00
Fractional positions:
Mg 0.0000 0.0000 0.0000
Ti 0.5000 0.5000 0.5000
V 0.0000 0.5000 0.6234
V 0.5000 0.0000 0.3766
Cr 0.0000 0.0000 0.5000
O 0.0000 0.2042 0.7215
O 0.0000 0.5000 0.3265
O 0.0000 0.7958 0.7215
O 0.2042 0.0000 0.2785
O 0.2740 0.5000 0.7005
O 0.5000 0.0000 0.6735
O 0.5000 0.2740 0.2995
O 0.5000 0.7260 0.2995
O 0.7260 0.5000 0.7005
O 0.7958 0.0000 0.2785

Principal peaks in the range 10 to 90 degrees two-theta, in order of falling intensity:
hkl 0 0 1, 16.17 deg, I = 100; hkl 2 0 0, 27.42 deg, I = 98; hkl 1 0 1, 21.19 deg, I = 48; hkl 2 0 1, 31.99 deg, I = 48; hkl 4 0 0, 56.59 deg, I = 19; hkl 2 2 2, 51.90 deg, I = 18; hkl 3 1 2, 55.88 deg, I = 17; hkl 1 1 2, 38.22 deg, I = 15; hkl 1 1 3, 53.96 deg, I = 14; hkl 3 1 3, 68.69 deg, I = 14


[3]
Theoretical powder XRD pattern
Compound: MgTiV2CrO10
Radiation: λ = 1.5418 Å (Cu Kα)
Structure: DFT lattice parameters and positions (PBE+U)
Intensities are scaled so that the largest is 100.

Atomic structure:
Unit cell a=5.4539 b=6.5663 c=6.6766 alpha=90.00 beta=91.78 gamma=90.00
Fractional positions:
Mg 0.0000 0.0000 0.0000
Ti 0.5654 0.0000 0.1896
V 0.5018 0.0000 0.6948
V 0.7050 0.5000 0.1630
Cr 0.6107 0.5000 0.6748
O 0.3496 0.0000 0.9636
O 0.4065 0.5000 0.1502
O 0.4088 0.0000 0.4211
O 0.4292 0.2965 0.6872
O 0.4292 0.7035 0.6872
O 0.7665 0.5000 0.4637
O 0.7926 0.2040 0.1549
O 0.7926 0.7960 0.1549
O 0.8069 0.0000 0.7407
O 0.8079 0.5000 0.8717

Principal peaks in the range 10 to 90 degrees two-theta, in order of falling intensity:
hkl 1 0 0, 16.26 deg, I = 100; hkl 0 2 0, 27.16 deg, I = 43; hkl 1 0 2, 31.85 deg, I = 38; hkl 0 0 2, 26.72 deg, I = 28; hkl 1 0 -2, 30.98 deg, I = 16; hkl 1 1 0, 21.18 deg, I = 14; hkl 2 1 0, 35.67 deg, I = 12; hkl 1 2 -2, 41.67 deg, I = 10; hkl 1 0 1, 21.37 deg, I = 9; hkl 1 4 0, 58.77 deg, I = 8


[4]
Theoretical powder XRD pattern
Compound: MgTiV2CrO10
Radiation: λ = 1.5418 Å (Cu Kα)
Structure: DFT lattice parameters and positions (PBE+U)
Intensities are scaled so that the largest is 100.

Atomic structure:
Unit cell a=6.5666 b=6.5666 c=5.4992 alpha=90.00 beta=90.00 gamma=90.00
Fractional positions:
Mg 0.0000 0.0000 0.0000
Ti 0.0000 0.0000 0.5000
V 0.0000 0.5000 0.3810
V 0.5000 0.0000 0.6190
Cr 0.5000 0.5000 0.5000
O 0.0000 0.2067 0.2736
O 0.0000 0.5000 0.6778
O 0.0000 0.7933 0.2736
O 0.2067 0.0000 0.7264
O 0.2973 0.5000 0.3173
O 0.5000 0.0000 0.3222
O 0.5000 0.2973 0.6827
O 0.5000 0.7027 0.6827
O 0.7027 0.5000 0.3173
O 0.7933 0.0000 0.7264

Principal peaks in the range 10 to 90 degrees two-theta, in order of falling intensity:
hkl 0 0 1, 16.12 deg, I = 100; hkl 2 0 0, 27.16 deg, I = 97; hkl 2 0 1, 31.74 deg, I = 47; hkl 1 0 1, 21.07 deg, I = 46; hkl 4 0 0, 56.02 deg, I = 17; hkl 3 1 2, 55.45 deg, I = 16; hkl 2 2 2, 51.52 deg, I = 15; hkl 3 0 1, 44.55 deg, I = 14; hkl 2 2 1, 42.25 deg, I = 13; hkl 1 1 2, 38.03 deg, I = 12


[5]
Theoretical powder XRD pattern
Compound: Mg14VCrO16
Radiation: λ = 1.5418 Å (Cu Kα)
Structure: DFT lattice parameters and positions (PBE+U)
Intensities are scaled so that the largest is 100.

Atomic structure:
Unit cell a=8.5235 b=8.5235 c=4.3266 alpha=90.00 beta=90.00 gamma=90.00
Fractional positions:
Mg 0.0000 0.2497 0.0000
Mg 0.0000 0.5000 0.5000
Mg 0.0000 0.7503 0.0000
Mg 0.2488 0.5000 0.0000
Mg 0.2497 0.0000 0.0000
Mg 0.2501 0.2501 0.5000
Mg 0.2501 0.7499 0.5000
Mg 0.5000 0.0000 0.5000
Mg 0.5000 0.2488 0.0000
Mg 0.5000 0.7512 0.0000
Mg 0.7503 0.0000 0.0000
Mg 0.7499 0.2501 0.5000
Mg 0.7499 0.7499 0.5000
Mg 0.7512 0.5000 0.0000
V 0.5000 0.5000 0.5000
Cr 0.0000 0.0000 0.5000
O 0.0000 0.0000 0.0000
O 0.0000 0.2535 0.5000
O 0.0000 0.5000 0.0000
O 0.0000 0.7465 0.5000
O 0.2453 0.5000 0.5000
O 0.2503 0.2503 0.0000
O 0.2503 0.7497 0.0000
O 0.2535 0.0000 0.5000
O 0.5000 0.0000 0.0000
O 0.5000 0.2453 0.5000
O 0.5000 0.5000 0.0000
O 0.5000 0.7547 0.5000
O 0.7465 0.0000 0.5000
O 0.7497 0.2503 0.0000
O 0.7497 0.7497 0.0000
O 0.7547 0.5000 0.5000

Principal peaks in the range 10 to 90 degrees two-theta, in order of falling intensity:
hkl 4 0 0, 42.42 deg, I = 100; hkl 4 0 2, 61.04 deg, I = 58; hkl 0 0 2, 41.75 deg, I = 53; hkl 4 4 0, 61.55 deg, I = 28; hkl 4 4 2, 77.15 deg, I = 26; hkl 2 2 1, 36.33 deg, I = 25; hkl 6 2 1, 73.62 deg, I = 9; hkl 1 1 0, 14.70 deg, I = 7; hkl 2 2 3, 72.68 deg, I = 5; hkl 1 1 1, 25.34 deg, I = 4